Calculated PXRD pattern
Compound: KPdRuI6
Radiation: Cu Kα X-rays
Structure: a DFT-relaxed cell (PBE, Alexandria)
Peak positions follow from Bragg's law for the DFT cell and can differ from measured ones.

Cell and atoms:
Unit cell a=7.1942 b=7.1942 c=7.8451 alpha=90.00 beta=90.00 gamma=120.00
Space group P312 (No. 149)
One atom of each set of equivalent atoms:
K 0.0000 0.0000 0.0000 x1
Pd 0.6667 0.3333 0.5000 x1
Ru 0.3333 0.6667 0.5000 x1
I 0.0108 0.3708 0.6947 x6

Main lines, most intense first (2θ from 10° to 90°):
| (hkl) | 2theta | intensity |
| --- | --- | --- |
| 2 -1 1 | 27.27 | 100.0 |
| 2 -1 2 | 33.81 | 72.3 |
| 0 0 1 | 11.28 | 68.6 |
| 3 0 0 | 43.58 | 33.0 |
| 1 1 3 | 42.75 | 28.2 |
| 1 0 1 | 18.18 | 24.6 |
| 1 1 4 | 53.19 | 18.1 |
| 1 0 0 | 14.22 | 14.9 |
| 2 2 2 | 56.27 | 13.2 |
| 3 -1 1 | 39.97 | 12.7 |